# MnBeTcPCl
Calculated powder X-ray diffraction pattern, Cu Kα, 1.54184 Å. Input: a PBE-relaxed structure.
Lines closer than 0.1° are merged.

Structural model:
Cell: 3.1627 3.4338 13.2867 Å, 90.00 90.00 90.00°
Space group Imm2 (No. 44)
Symmetry-distinct sites (fractional):
Mn  0.0000  0.0000  0.0000
Be  0.0000  0.5000  0.6412
Tc  0.0000  0.5000  0.1725
P  0.0000  0.0000  0.5341
Cl  0.0000  0.0000  0.8263

Most intense lines, 10 to 90 degrees two-theta, in order of falling intensity:
- (0 1 1), d 3.324, 26.82°, intensity 100
- (1 1 2), d 2.196, 41.11°, intensity 98
- (0 0 2), d 6.643, 13.33°, intensity 89
- (1 1 4), d 1.905, 47.73°, intensity 83
- (1 0 1), d 3.077, 29.02°, intensity 47
- (0 0 6), d 2.214, 40.75°, intensity 40
- (1 0 5), d 2.035, 44.53°, intensity 34
- (1 0 3), d 2.574, 34.86°, intensity 32

=====

# PaPAuN
Calculated powder X-ray diffraction pattern, Cu Kα, 1.54184 Å. Input: a PBE-relaxed structure.
Lines closer than 0.1° are merged.

Structural model:
Cell: 3.9722 3.9722 30.5028 Å, 90.00 90.00 120.00°
Space group R-3m (No. 166, hexagonal axes)
Symmetry-distinct sites (fractional):
Pa  0.0000  0.0000  0.1192
P  0.0000  0.0000  0.3960
Au  0.0000  0.0000  0.3021
N  0.0000  0.0000  0.1926

Most intense lines, 10 to 90 degrees two-theta, in order of falling intensity:
- (0 1 5), d 2.996, 29.82°, intensity 100
- (1 1 0), d 1.986, 45.68°, intensity 60
- (1 0 7), d 2.700, 33.18°, intensity 45
- (1 0 10), d 2.282, 39.48°, intensity 42
- (1 0 4), d 3.136, 28.46°, intensity 38
- (1 1 12), d 1.565, 59.02°, intensity 32
- (0 1 2), d 3.356, 26.56°, intensity 24
- (0 0 12), d 2.542, 35.31°, intensity 23